This entry pairs a crystal structure of Ce3SmRh with its theoretical PXRD pattern. Radiation: Cu Ka. Structure: a PBE-relaxed structure.
Lines closer than 0.1° are merged.

Peak list (6 most intense, 10 to 90 degrees two-theta, by angle)
Position (°2θ)	I (rel.)
31.4	1000
31.7	600
32.0	700
33.4	843
35.2	601
38.9	551

Structural model:
```
20
Lattice="8.9010 0.0000 0.0000 0.0000 7.2053 0.0000 -4.9018 0.0000 8.2006" Properties=species:S:1:pos:R:3 pbc="T T T"
Ce -0.7019 0.6417 2.2286
Ce -3.1528 2.9609 6.3288
Ce -0.8745 0.0289 5.5286
Ce 1.5764 3.5737 1.4283
Ce -1.4290 4.5326 7.8942
Ce 1.0219 6.2753 3.7939
Ce 2.9773 0.9300 4.4066
Ce 5.4283 2.6727 0.3064
Ce 2.4228 3.6316 6.7722
Ce 4.8737 7.1764 2.6720
Ce 7.1520 4.2444 1.8717
Ce 4.7011 6.5636 5.9720
Sm 2.4764 0.4546 0.7190
Sm 0.0255 3.1480 4.8193
Sm 3.9737 4.0573 3.3812
Sm 1.5228 6.7507 7.4815
Rh -2.2534 5.1892 4.3162
Rh 0.1975 5.6188 0.2159
Rh 3.8017 1.5865 7.9847
Rh 6.2526 2.0161 3.8844
```

=====

This entry pairs a crystal structure of DyGa2Co2C with its theoretical PXRD pattern. Radiation: Cu Ka. Structure: a PBE-relaxed structure.
Lines closer than 0.1° are merged.

Peak list (6 most intense, 10 to 90 degrees two-theta, by angle)
Position (°2θ)	I (rel.)
31.6	1000
35.7	968
43.4	242
46.7	494
55.8	541
57.5	360

Structural model:
```
6
Lattice="-1.9470 1.9470 6.1765 1.9470 -1.9470 6.1765 1.9470 1.9470 -6.1765" Properties=species:S:1:pos:R:3 pbc="T T T"
Dy 0.0000 0.0000 0.0000
Ga 1.9470 0.0000 3.0882
Ga 0.0000 1.9470 3.0882
Co 0.0000 0.0000 4.4675
Co 0.0000 0.0000 7.8855
C 0.0000 0.0000 6.1765
```

=====

This entry pairs a crystal structure of Cs2TlHg6Pd with its theoretical PXRD pattern. Radiation: Cu Ka. Structure: a PBE-relaxed structure.
Lines closer than 0.1° are merged.

Peak list (6 most intense, 10 to 90 degrees two-theta, by angle)
Position (°2θ)	I (rel.)
29.8	466
30.2	1000
36.1	334
38.2	391
47.9	249
55.1	221

Structural model:
```
10
Lattice="7.5991 0.0000 0.0000 -3.7995 6.5810 0.0000 0.0000 0.0000 6.7453" Properties=species:S:1:pos:R:3 pbc="T T T"
Cs 0.0000 4.3873 2.2094
Cs 3.7995 2.1937 4.5360
Tl 0.0000 0.0000 3.3727
Hg 0.0000 2.5452 5.5685
Hg -1.5953 5.3084 5.5685
Hg 2.2042 1.2726 1.1768
Hg 1.5953 5.3084 5.5685
Hg 5.3948 1.2726 1.1768
Hg 3.7995 4.0358 1.1768
Pd 0.0000 0.0000 0.0000
```